For Be7Nb3Ni2, DFT lattice parameters and positions (GGA-PBE) gives the theoretical X-ray powder pattern in this record (λ = 1.5418 Å (Cu Kα)).

Structure:
a = 4.6037 Å, b = 4.6037 Å, c = 21.6028 Å
α = 90.00°, β = 90.00°, γ = 120.00°
Space group R-3m (No. 166, hexagonal axes)
Inequivalent atoms, fractional coordinates:
Be1 0.0000 0.0000 0.0000 (multiplicity 3)
Be2 0.0056 0.5028 0.4166 (multiplicity 18)
Nb1 0.0000 0.0000 0.3575 (multiplicity 6)
Nb2 0.0000 0.0000 0.5000 (multiplicity 3)
Ni1 0.0000 0.0000 0.1656 (multiplicity 6)

Principal peaks in the range 2θ from 15° to 90°, in order of rising 2θ:
2θ 22.7, I 43, hkl 1 0 1; 2θ 24.7, I 65, hkl 0 0 6; 2θ 27.8, I 26, hkl 1 0 4; 2θ 36.8, I 34, hkl 1 0 7; 2θ 39.1, I 100, hkl 1 1 0; 2θ 40.3, I 16, hkl 0 1 8; 2θ 46.8, I 90, hkl 1 1 6; 2θ 70.9, I 16, hkl 3 0 0; 2θ 76.4, I 20, hkl 3 0 6; 2θ 78.3, I 22, hkl 1 1 15



For KCuAs2O6, DFT lattice parameters and positions (GGA-PBE) gives the theoretical X-ray powder pattern in this record (λ = 1.5418 Å (Cu Kα)).

Structure:
a = 11.0841 Å, b = 12.3333 Å, c = 5.0614 Å
α = 90.00°, β = 101.59°, γ = 90.00°
Space group C2/c (No. 15)
Inequivalent atoms, fractional coordinates:
K1 0.0000 0.1193 0.2500 (multiplicity 4)
Cu1 0.0000 0.3206 0.7500 (multiplicity 4)
As1 0.2063 0.4216 0.1785 (multiplicity 8)
O1 0.1177 0.3119 0.0662 (multiplicity 8)
O2 0.1409 0.0874 0.7644 (multiplicity 8)
O3 0.1513 0.4594 0.4786 (multiplicity 8)

Principal peaks in the range 2θ from 15° to 90°, in order of rising 2θ:
2θ 19.5, I 15, hkl 1 1 -1; 2θ 21.8, I 48, hkl 2 2 0; 2θ 25.7, I 26, hkl 3 1 0; 2θ 26.1, I 100, hkl 2 2 -1; 2θ 30.4, I 47, hkl 2 2 1; 2θ 34.2, I 44, hkl 0 4 1; 2θ 36.2, I 25, hkl 0 0 2; 2θ 44.3, I 15, hkl 4 0 -2; 2θ 47.3, I 13, hkl 2 6 0; 2θ 54.2, I 12, hkl 5 3 1



For SiAg4, DFT lattice parameters and positions (GGA-PBE) gives the theoretical X-ray powder pattern in this record (λ = 1.5418 Å (Cu Kα)).

Structure:
a = 4.7722 Å, b = 4.7722 Å, c = 4.7722 Å
α = 90.00°, β = 90.00°, γ = 90.00°
Space group Pm-3m (No. 221)
Inequivalent atoms, fractional coordinates:
Si1 0.0000 0.0000 0.0000 (multiplicity 1)
Ag1 0.0000 0.0000 0.5000 (multiplicity 3)
Ag2 0.5000 0.5000 0.5000 (multiplicity 1)

Principal peaks in the range 2θ from 15° to 90°, in order of rising 2θ:
2θ 18.6, I 2, hkl 1 0 0; 2θ 26.4, I 1, hkl 1 1 0; 2θ 32.5, I 100, hkl 1 1 1; 2θ 37.7, I 64, hkl 2 0 0; 2θ 42.4, I 1, hkl 2 1 0; 2θ 54.4, I 42, hkl 2 2 0; 2θ 64.8, I 37, hkl 3 1 1; 2θ 68.1, I 14, hkl 2 2 2; 2θ 80.5, I 7, hkl 4 0 0; 2θ 89.5, I 16, hkl 3 3 1



For TbInNi5, DFT lattice parameters and positions (GGA-PBE) gives the theoretical X-ray powder pattern in this record (λ = 1.5418 Å (Cu Kα)).

Structure:
a = 8.0930 Å, b = 4.8480 Å, c = 10.3161 Å
α = 90.00°, β = 90.00°, γ = 90.00°
Space group Pnma (No. 62)
Inequivalent atoms, fractional coordinates:
Tb1 0.2491 0.2500 0.0606 (multiplicity 4)
In1 0.1378 0.2500 0.3629 (multiplicity 4)
Ni1 0.0469 0.2500 0.6058 (multiplicity 4)
Ni2 0.0667 0.5007 0.8111 (multiplicity 8)
Ni3 0.0832 0.7500 0.0167 (multiplicity 4)
Ni4 0.1887 0.7500 0.2410 (multiplicity 4)

Principal peaks in the range 2θ from 15° to 90°, in order of rising 2θ:
2θ 31.9, I 38, hkl 0 1 3; 2θ 33.8, I 30, hkl 1 1 3; 2θ 36.6, I 44, hkl 1 0 4; 2θ 37.1, I 40, hkl 0 2 0; 2θ 39.1, I 81, hkl 2 1 3; 2θ 39.2, I 100, hkl 3 1 1; 2θ 44.4, I 35, hkl 2 2 1; 2θ 45.7, I 66, hkl 4 0 1; 2θ 47.2, I 42, hkl 1 2 3; 2θ 68.2, I 33, hkl 3 3 1



For MnCu2P, DFT lattice parameters and positions (GGA-PBE) gives the theoretical X-ray powder pattern in this record (λ = 1.5418 Å (Cu Kα)).

Structure:
a = 3.5156 Å, b = 3.5156 Å, c = 8.0766 Å
α = 90.00°, β = 90.00°, γ = 90.00°
Space group I4/mmm (No. 139)
Inequivalent atoms, fractional coordinates:
Mn1 0.0000 0.0000 0.0000 (multiplicity 2)
Cu1 0.0000 0.5000 0.2500 (multiplicity 4)
P1 0.0000 0.0000 0.5000 (multiplicity 2)

Principal peaks in the range 2θ from 15° to 90°, in order of rising 2θ:
2θ 22.0, I 7, hkl 0 0 2; 2θ 27.7, I 4, hkl 1 0 1; 2θ 36.1, I 4, hkl 1 1 0; 2θ 42.7, I 100, hkl 1 1 2; 2θ 44.9, I 21, hkl 0 0 4; 2θ 52.0, I 27, hkl 2 0 0; 2θ 57.2, I 2, hkl 2 0 2; 2θ 71.1, I 20, hkl 2 0 4; 2θ 76.7, I 8, hkl 2 2 0; 2θ 81.3, I 13, hkl 1 1 6



For Tm5ThC4, DFT lattice parameters and positions (GGA-PBE) gives the theoretical X-ray powder pattern in this record (λ = 1.5418 Å (Cu Kα)).

Structure:
a = 15.7340 Å, b = 3.6028 Å, c = 7.2993 Å
α = 90.00°, β = 103.02°, γ = 90.00°
Space group C2/m (No. 12)
Inequivalent atoms, fractional coordinates:
Tm1 0.0000 0.0000 0.0000 (multiplicity 2)
Tm2 0.1611 0.5000 0.8097 (multiplicity 4)
Tm3 0.1687 0.5000 0.3571 (multiplicity 4)
Th1 0.0000 0.0000 0.5000 (multiplicity 2)
C1 0.0039 0.5000 0.7641 (multiplicity 4)
C2 0.1710 0.0000 0.5899 (multiplicity 4)

Principal peaks in the range 2θ from 15° to 90°, in order of rising 2θ:
2θ 30.0, I 48, hkl 2 0 2; 2θ 30.2, I 49, hkl 4 0 -2; 2θ 30.4, I 100, hkl 3 1 0; 2θ 35.0, I 78, hkl 1 1 -2; 2θ 35.1, I 40, hkl 6 0 0; 2θ 50.3, I 26, hkl 5 1 2; 2θ 50.6, I 28, hkl 7 1 -2; 2θ 59.7, I 20, hkl 5 1 -4; 2θ 60.1, I 36, hkl 10 0 -2; 2θ 60.1, I 17, hkl 4 2 -2